Calculated X-ray diffraction stick pattern
Compound: Ti4Fe5Sb5
Radiation: CuKα
Structure: a DFT-relaxed cell (GGA-PBE, the Materials Project)
Peak positions follow from Bragg's law for the DFT cell and can differ from measured ones.

The 6 most intense peaks (10° ≤ 2θ ≤ 90°), in order of falling intensity:
33.4°, rel. 100
40.5°, rel. 75
55.7°, rel. 69
31.8°, rel. 63
39.0°, rel. 63
77.2°, rel. 43

Crystal structure
```
Ti4Fe5Sb5
1.0
1.649 0.952 26.106
-1.649 0.952 26.106
0.000 -1.905 26.106
Ti Fe Sb
4 5 5
Direct
0.000 0.000 0.000
0.191 0.191 0.191
0.405 0.405 0.405
0.595 0.595 0.595
0.140 0.140 0.140
0.354 0.354 0.354
0.544 0.544 0.544
0.758 0.758 0.758
0.949 0.949 0.949
0.044 0.044 0.044
0.234 0.234 0.234
0.449 0.449 0.449
0.638 0.638 0.638
0.829 0.829 0.829
```